Hg2IN: simulated powder XRD pattern (CuKα), based on the PBE geometry in the Materials Project.
No peak broadening, texture or thermal motion is included.

Main lines, low angle first (15° ≤ 2θ ≤ 90°):
index	2theta	Rel. int.
2 0 0	30.1	38.4
1 1 2	30.3	100.0
0 0 4	31.0	44.4
2 0 2	33.9	73.9
2 0 4	43.7	29.7
3 0 2	48.6	27.6
2 2 0	53.4	29.9
2 2 4	63.0	35.0

```
Hg2IN
1.0
6.864 0.000 0.000
-3.432 5.944 0.000
0.000 0.000 11.530
Hg I N
8 4 4
direct
0.000 0.500 0.000
0.000 0.500 0.500
0.333 0.667 0.250
0.500 0.000 0.000
0.500 0.000 0.500
0.500 0.500 0.000
0.500 0.500 0.500
0.667 0.333 0.750
0.000 0.000 0.250
0.000 0.000 0.750
0.333 0.667 0.750
0.667 0.333 0.250
0.333 0.667 0.067
0.333 0.667 0.433
0.667 0.333 0.567
0.667 0.333 0.933
```